Entry 1:
This entry pairs a crystal structure of RbNaNi2Cl8 with its theoretical powder diffraction line list. Radiation: Cu Kα (weighted mean of Kα1 and Kα2). Structure: a DFT-relaxed cell (PBE, Alexandria).

Principal peaks in the range 10° ≤ 2θ ≤ 90°, in order of rising 2θ:
(1 0 4), 20.11 deg, intensity 97; (1 1 0), 27.40 deg, intensity 41; (0 0 9), 28.26 deg, intensity 33; (2 -1 3), 29.01 deg, intensity 100; (0 1 8), 29.73 deg, intensity 32; (1 1 6), 33.40 deg, intensity 37; (0 2 4), 34.22 deg, intensity 23; (3 -1 4), 44.38 deg, intensity 24; (2 -1 12), 47.48 deg, intensity 51; (3 0 0), 48.43 deg, intensity 46

Structural model:
```
data_RbNaNi2Cl8
_chemical_formula_sum 'Rb3 Na3 Ni6 Cl24'
_cell_length_a 6.5103
_cell_length_b 6.5103
_cell_length_c 28.4185
_cell_angle_alpha 90.00
_cell_angle_beta 90.00
_cell_angle_gamma 120.00
_space_group_name_H-M_alt 'R -3'
_space_group_IT_number 148
_space_group_name_Hall '-R 3'
loop_
_atom_site_label
_atom_site_type_symbol
_atom_site_fract_x
_atom_site_fract_y
_atom_site_fract_z
Rb1 Rb 0.0000 0.0000 0.0000
Na1 Na 0.0000 0.0000 0.5000
Ni1 Ni 0.0000 0.0000 0.2509
Cl1 Cl 0.0000 0.0000 0.3271
Cl2 Cl 0.0062 0.3599 0.4391
```

Entry 2:
This entry pairs a crystal structure of Sm3AlTe6 with its theoretical powder diffraction line list. Radiation: Cu Kα (weighted mean of Kα1 and Kα2). Structure: a DFT-relaxed cell (PBE, Alexandria).

Principal peaks in the range 10° ≤ 2θ ≤ 90°, in order of rising 2θ:
(1 1 1), 15.23 deg, intensity 22; (2 2 1), 22.23 deg, intensity 39; (1 3 1), 22.56 deg, intensity 22; (0 4 1), 26.47 deg, intensity 20; (3 3 1), 30.65 deg, intensity 100; (3 1 2), 33.32 deg, intensity 66; (0 4 2), 34.00 deg, intensity 41; (3 5 0), 36.91 deg, intensity 36; (6 0 0), 44.28 deg, intensity 27; (0 8 1), 49.68 deg, intensity 22

Structural model:
```
data_Sm3AlTe6
_chemical_formula_sum 'Sm12 Al4 Te24'
_cell_length_a 12.270
_cell_length_b 15.156
_cell_length_c 7.345
_cell_angle_alpha 90.00
_cell_angle_beta 90.00
_cell_angle_gamma 90.00
_space_group_name_H-M_alt 'C m c 21'
_space_group_IT_number 36
loop_
_space_group_symop_operation_xyz
'x,y,z'
'-x,-y,z+1/2'
'-x,y,z'
'x,-y,z+1/2'
'x+1/2,y+1/2,z'
'-x+1/2,-y+1/2,z+1/2'
'-x+1/2,y+1/2,z'
'x+1/2,-y+1/2,z+1/2'
loop_
_atom_site_label
_atom_site_type_symbol
_atom_site_fract_x
_atom_site_fract_y
_atom_site_fract_z
Sm1 Sm 0.000 0.096 0.000
Sm2 Sm 0.181 0.404 0.113
Al1 Al 0.000 0.296 0.649
Te1 Te 0.000 0.279 0.290
Te2 Te 0.000 0.459 0.791
Te3 Te 0.163 0.038 0.305
Te4 Te 0.169 0.233 0.828
```

Entry 3:
This entry pairs a crystal structure of RbNbO4 with its theoretical powder diffraction line list. Radiation: Cu Kα (weighted mean of Kα1 and Kα2). Structure: a DFT-relaxed cell (PBE, Alexandria).

Principal peaks in the range 10° ≤ 2θ ≤ 90°, in order of rising 2θ:
(0 0 1), 12.65 deg, intensity 10; (0 0 2), 25.45 deg, intensity 20; (1 0 1), 28.64 deg, intensity 100; (1 1 0), 36.51 deg, intensity 10; (1 1 2), 45.03 deg, intensity 40; (1 0 3), 46.88 deg, intensity 25; (2 0 0), 52.59 deg, intensity 15; (2 1 1), 60.98 deg, intensity 22; (1 1 4), 65.44 deg, intensity 11; (2 1 3), 73.07 deg, intensity 13

Structural model:
```
data_RbNbO4
_chemical_formula_sum 'Rb1 Nb1 O4'
_cell_length_a 3.481
_cell_length_b 3.481
_cell_length_c 7.000
_cell_angle_alpha 90.00
_cell_angle_beta 90.00
_cell_angle_gamma 90.00
_space_group_name_H-M_alt 'P 4/m m m'
_space_group_IT_number 123
_space_group_name_Hall '-P 4 2'
loop_
_atom_site_label
_atom_site_type_symbol
_atom_site_fract_x
_atom_site_fract_y
_atom_site_fract_z
Rb1 Rb 0.000 0.000 0.000
Nb1 Nb 0.500 0.500 0.500
O1 O 0.000 0.500 0.325
```

Entry 4:
This entry pairs a crystal structure of PrSbPd4 with its theoretical powder diffraction line list. Radiation: Cu Kα (weighted mean of Kα1 and Kα2). Structure: a DFT-relaxed cell (PBE, Alexandria).

Principal peaks in the range 10° ≤ 2θ ≤ 90°, in order of rising 2θ:
(1 1 0), 23.38 deg, intensity 40; (1 1 2), 30.26 deg, intensity 69; (2 0 0), 33.30 deg, intensity 22; (2 0 1), 34.69 deg, intensity 100; (0 0 4), 38.44 deg, intensity 41; (2 0 2), 38.60 deg, intensity 30; (2 0 3), 44.45 deg, intensity 42; (2 2 2), 51.87 deg, intensity 78; (4 0 0), 69.93 deg, intensity 17; (4 0 4), 82.73 deg, intensity 18

Structural model:
```
data_PrSbPd4
_chemical_formula_sum 'Pr2 Sb2 Pd8'
_cell_length_a 5.381
_cell_length_b 5.381
_cell_length_c 9.367
_cell_angle_alpha 90.00
_cell_angle_beta 90.00
_cell_angle_gamma 90.00
_space_group_name_H-M_alt 'P 42/n m c'
_space_group_IT_number 137
loop_
_space_group_symop_operation_xyz
'x,y,z'
'-x,-y,-z'
'-y+1/2,x,z+1/2'
'y+1/2,-x,-z+1/2'
'-x+1/2,-y+1/2,z'
'x+1/2,y+1/2,-z'
'y,-x+1/2,z+1/2'
'-y,x+1/2,-z+1/2'
'x+1/2,-y,-z'
'-x+1/2,y,z'
'-y,-x,-z+1/2'
'y,x,z+1/2'
'-x,y+1/2,-z'
'x,-y+1/2,z'
'y+1/2,x+1/2,-z+1/2'
'-y+1/2,-x+1/2,z+1/2'
loop_
_atom_site_label
_atom_site_type_symbol
_atom_site_fract_x
_atom_site_fract_y
_atom_site_fract_z
Pr1 Pr 0.250 0.750 0.250
Sb1 Sb 0.250 0.750 0.750
Pd1 Pd 0.012 0.250 0.023
```

Entry 5:
This entry pairs a crystal structure of ErCd6Ag2 with its theoretical powder diffraction line list. Radiation: Cu Kα (weighted mean of Kα1 and Kα2). Structure: a DFT-relaxed cell (PBE, Alexandria).

Principal peaks in the range 10° ≤ 2θ ≤ 90°, in order of rising 2θ:
(1 3 0), 29.76 deg, intensity 23; (2 2 2), 33.50 deg, intensity 67; (2 3 1), 35.63 deg, intensity 30; (1 3 2), 36.05 deg, intensity 51; (3 1 2), 36.29 deg, intensity 67; (1 2 3), 36.94 deg, intensity 100; (0 0 4), 40.44 deg, intensity 54; (4 1 1), 40.84 deg, intensity 27; (2 4 0), 42.67 deg, intensity 25; (6 0 2), 62.92 deg, intensity 20

Structural model:
```
data_ErCd6Ag2
_chemical_formula_sum 'Er4 Cd24 Ag8'
_cell_length_a 9.395
_cell_length_b 9.505
_cell_length_c 8.927
_cell_angle_alpha 90.00
_cell_angle_beta 90.00
_cell_angle_gamma 90.00
_space_group_name_H-M_alt 'I b a m'
_space_group_IT_number 72
_space_group_name_Hall '-I 2 2c'
loop_
_atom_site_label
_atom_site_type_symbol
_atom_site_fract_x
_atom_site_fract_y
_atom_site_fract_z
Er1 Er 0.000 0.000 0.250
Cd1 Cd 0.073 0.222 0.000
Cd2 Cd 0.152 0.355 0.309
Ag1 Ag 0.208 0.068 0.500
```

Entry 6:
This entry pairs a crystal structure of ErPuCl5 with its theoretical powder diffraction line list. Radiation: Cu Kα (weighted mean of Kα1 and Kα2). Structure: a DFT-relaxed cell (PBE, Alexandria).

Principal peaks in the range 10° ≤ 2θ ≤ 90°, in order of rising 2θ:
(1 1 0), 13.20 deg, intensity 100; (1 1 1), 18.67 deg, intensity 94; (1 1 -2), 20.19 deg, intensity 23; (2 0 -2), 21.37 deg, intensity 63; (1 3 -1), 29.15 deg, intensity 63; (3 1 -2), 29.41 deg, intensity 33; (2 0 2), 33.05 deg, intensity 42; (4 2 -2), 40.73 deg, intensity 23; (3 3 -3), 42.62 deg, intensity 29; (1 3 3), 44.74 deg, intensity 30

Structural model:
```
data_ErPuCl5
_chemical_formula_sum 'Er4 Pu4 Cl20'
_cell_length_a 9.985
_cell_length_b 9.886
_cell_length_c 9.868
_cell_angle_alpha 90.00
_cell_angle_beta 113.79
_cell_angle_gamma 90.00
_space_group_name_H-M_alt 'C 1 2/c 1'
_space_group_IT_number 15
loop_
_space_group_symop_operation_xyz
'x,y,z'
'-x,-y,-z'
'-x,y,-z+1/2'
'x,-y,z+1/2'
'x+1/2,y+1/2,z'
'-x+1/2,-y+1/2,-z'
'-x+1/2,y+1/2,-z+1/2'
'x+1/2,-y+1/2,z+1/2'
loop_
_atom_site_label
_atom_site_type_symbol
_atom_site_fract_x
_atom_site_fract_y
_atom_site_fract_z
Er1 Er 0.250 0.250 0.000
Pu1 Pu 0.000 0.075 0.250
Cl1 Cl 0.000 0.229 0.750
Cl2 Cl 0.093 0.305 0.144
Cl3 Cl 0.202 0.006 0.539
```